Structure and simulated PXRD pattern of Pr4InBi2 (a structure optimized by DFT (GGA-PBE); λ = 1.5418 Å (Cu Kα)).
Lines closer than 0.1° are merged.

Structure:
```
14
Lattice="6.268 0.000 0.000 0.000 6.877 0.000 -2.729 0.000 10.682" Properties=species:S:1:pos:R:3 pbc="T T T"
Pr -0.475 0.114 2.748
Pr -0.475 3.324 2.748
Pr 0.685 5.157 5.787
Pr 2.493 5.157 1.504
Pr 1.047 1.719 9.177
Pr 2.854 1.719 4.895
Pr 4.015 3.552 7.934
Pr 4.015 6.762 7.934
In 0.550 5.157 8.829
In 2.989 1.719 1.853
Bi -2.060 1.719 10.672
Bi -0.165 1.719 5.892
Bi 3.704 5.157 4.790
Bi 5.599 5.157 0.010
```

Principal peaks in the range 15° ≤ 2θ ≤ 90°, sorted by position:
- 25.91 deg, I 40
- 28.50 deg, I 30
- 29.86 deg, I 30
- 30.04 deg, I 27
- 30.93 deg, I 82
- 32.18 deg, I 100
- 32.47 deg, I 73
- 32.80 deg, I 32
- 33.14 deg, I 60
- 53.29 deg, I 27

---

Structure and simulated PXRD pattern of Dy3Ho2Al2 (a structure optimized by DFT (GGA-PBE); λ = 1.5418 Å (Cu Kα)).
Lines closer than 0.1° are merged.

Structure:
```
7
Lattice="2.627 1.517 7.788 -2.627 1.517 7.788 0.000 -3.033 7.788" Properties=species:S:1:pos:R:3 pbc="T T T"
Dy 0.000 0.000 0.000
Dy 0.000 0.000 3.574
Dy 0.000 0.000 19.790
Ho 0.000 0.000 9.767
Ho 0.000 0.000 13.598
Al 0.000 0.000 6.594
Al 0.000 0.000 16.770
```

Principal peaks in the range 15° ≤ 2θ ≤ 90°, sorted by position:
- 20.95 deg, I 13
- 27.36 deg, I 42
- 33.29 deg, I 91
- 34.13 deg, I 100
- 48.42 deg, I 32
- 59.06 deg, I 21
- 60.57 deg, I 33
- 61.10 deg, I 19
- 80.18 deg, I 17
- 81.55 deg, I 14

---

Structure and simulated PXRD pattern of Na4Pb3O8 (a structure optimized by DFT (GGA-PBE); λ = 1.5418 Å (Cu Kα)).
Lines closer than 0.1° are merged.

Structure:
```
15
Lattice="3.350 1.934 5.969 -3.350 1.934 5.969 0.000 -3.868 5.969" Properties=species:S:1:pos:R:3 pbc="T T T"
Na 0.000 0.000 0.000
Na 0.000 0.000 2.549
Na 0.000 0.000 8.953
Na 0.000 0.000 15.358
Pb -1.675 -0.967 5.969
Pb -1.675 0.967 11.938
Pb 0.000 1.934 5.969
O 0.000 -1.811 7.165
O -1.568 0.905 7.165
O 0.000 0.000 4.771
O -1.568 -0.905 10.742
O 1.568 0.905 7.165
O 0.000 0.000 13.135
O 1.568 -0.905 10.742
O 0.000 1.811 10.742
```

Principal peaks in the range 15° ≤ 2θ ≤ 90°, sorted by position:
- 16.06 deg, I 40
- 30.60 deg, I 33
- 31.23 deg, I 100
- 32.44 deg, I 62
- 36.92 deg, I 88
- 40.00 deg, I 38
- 47.38 deg, I 44
- 51.57 deg, I 37
- 54.81 deg, I 35
- 57.12 deg, I 35